Diffraction record for K4Ba2SnP4. The powder XRD pattern is simulated, not measured: it uses a cell relaxed with GGA-PBE and Cu Kα (λ = 1.5418 Å).
Intensities are scaled so that the largest is 100.

Most intense lines, 10 to 80 degrees two-theta, by intensity:
- 2θ = 28.70°, d = 3.111 Å, I = 100.0
- 2θ = 34.51°, d = 2.599 Å, I = 81.6
- 2θ = 29.73°, d = 3.005 Å, I = 61.4
- 2θ = 30.41°, d = 2.939 Å, I = 59.7
- 2θ = 14.74°, d = 6.010 Å, I = 56.8
- 2θ = 30.15°, d = 2.964 Å, I = 55.8
- 2θ = 28.53°, d = 3.129 Å, I = 52.1
- 2θ = 34.30°, d = 2.615 Å, I = 50.6
- 2θ = 32.01°, d = 2.796 Å, I = 42.2
- 2θ = 28.18°, d = 3.167 Å, I = 37.4
- 2θ = 28.36°, d = 3.147 Å, I = 33.3
- 2θ = 52.19°, d = 1.753 Å, I = 29.2

Crystal structure
```
data_K4Ba2SnP4
_chemical_formula_sum 'K16 Ba8 Sn4 P16'
_cell_length_a 10.4597
_cell_length_b 17.9706
_cell_length_c 7.8902
_cell_angle_alpha 90.00
_cell_angle_beta 91.48
_cell_angle_gamma 90.00
_symmetry_space_group_name_H-M 'C 1 c 1'
_symmetry_Int_Tables_number 9
loop_
_symmetry_equiv_pos_as_xyz
'x,y,z'
'x,-y,z+1/2'
'x+1/2,y+1/2,z'
'x+1/2,-y+1/2,z+1/2'
loop_
_atom_site_label
_atom_site_type_symbol
_atom_site_fract_x
_atom_site_fract_y
_atom_site_fract_z
_atom_site_occupancy
K1 K 0.0000 0.0704 0.0000 1
K2 K 0.0817 0.2362 0.6908 1
K3 K 0.0838 0.4263 0.5235 1
K4 K 0.2969 0.3571 0.0117 1
Ba1 Ba 0.2871 0.0285 0.6894 1
Ba2 Ba 0.4981 0.2374 0.6908 1
Sn1 Sn 0.2959 0.1672 0.3054 1
P1 P 0.0906 0.0973 0.3972 1
P2 P 0.2900 0.3023 0.4087 1
P3 P 0.2951 0.1616 0.9764 1
P4 P 0.4937 0.0962 0.4251 1
```